Record 1
This entry pairs a crystal structure of KCdInGeBr with its calculated X-ray powder pattern. Radiation: Cu Kα. Structure: a PBE-relaxed structure.

Peak list (8 most intense, 15 to 90 degrees two-theta, by intensity)
2θ (°)	I_rel
37.9	100
34.7	71
21.9	57
32.1	43
27.4	41
20.1	37
43.5	32
43.3	29

Structural model:
```
data_KCdInGeBr
_chemical_formula_sum 'K2 Cd2 In2 Ge2 Br2'
_cell_length_a 8.2121
_cell_length_b 4.7443
_cell_length_c 9.2680
_cell_angle_alpha 90.00
_cell_angle_beta 107.15
_cell_angle_gamma 90.00
_space_group_name_H-M_alt 'C 1 m 1'
_space_group_IT_number 8
loop_
_space_group_symop_operation_xyz
'x,y,z'
'x,-y,z'
'x+1/2,y+1/2,z'
'x+1/2,-y+1/2,z'
loop_
_atom_site_label
_atom_site_fract_x
_atom_site_fract_y
_atom_site_fract_z
_atom_site_occupancy
K1 0.0000 0.0000 0.0000 1
Cd1 0.0693 0.5000 0.7124 1
In1 0.3340 0.5000 0.5059 1
Ge1 0.2116 0.0000 0.6398 1
Br1 0.2263 0.5000 0.1790 1
```

---

Record 2
This entry pairs a crystal structure of KCdInGeBr with its calculated X-ray powder pattern. Radiation: Cu Kα. Structure: a PBE-relaxed structure.

Peak list (8 most intense, 15 to 90 degrees two-theta, by intensity)
2θ (°)	I_rel
24.8	100
22.6	80
38.0	70
28.4	67
44.3	62
31.4	47
44.1	46
38.3	43

Structural model:
```
data_KCdInGeBr
_chemical_formula_sum 'K2 Cd2 In2 Ge2 Br2'
_cell_length_a 14.6700
_cell_length_b 4.0894
_cell_length_c 5.8001
_cell_angle_alpha 90.00
_cell_angle_beta 102.13
_cell_angle_gamma 90.00
_space_group_name_H-M_alt 'C 1 m 1'
_space_group_IT_number 8
loop_
_space_group_symop_operation_xyz
'x,y,z'
'x,-y,z'
'x+1/2,y+1/2,z'
'x+1/2,-y+1/2,z'
loop_
_atom_site_label
_atom_site_fract_x
_atom_site_fract_y
_atom_site_fract_z
_atom_site_occupancy
K1 0.0000 0.0000 0.0000 1
Cd1 0.2480 0.5000 0.2156 1
In1 0.2052 0.5000 0.6621 1
Ge1 0.2903 0.0000 0.9437 1
Br1 0.0107 0.5000 0.5257 1
```

---

Record 3
This entry pairs a crystal structure of K2CdGeBr6 with its calculated X-ray powder pattern. Radiation: Cu Kα. Structure: a PBE-relaxed structure.

Peak list (8 most intense, 15 to 90 degrees two-theta, by intensity)
2θ (°)	I_rel
32.5	100
16.1	87
26.9	84
36.5	58
40.2	37
49.0	30
46.6	30
28.0	24

Structural model:
```
data_K2CdGeBr6
_chemical_formula_sum 'K2 Cd1 Ge1 Br6'
_cell_length_a 7.7705
_cell_length_b 7.7780
_cell_length_c 7.7926
_cell_angle_alpha 90.06
_cell_angle_beta 119.87
_cell_angle_gamma 119.95
_space_group_name_H-M_alt 'P 1'
_space_group_IT_number 1
loop_
_space_group_symop_operation_xyz
'x,y,z'
loop_
_atom_site_label
_atom_site_fract_x
_atom_site_fract_y
_atom_site_fract_z
_atom_site_occupancy
K1 0.0000 0.0000 0.0000 1
K2 0.0019 0.5011 0.5033 1
Cd1 0.4585 0.2286 0.6874 1
Ge1 0.4578 0.7282 0.1870 1
Br1 0.3600 0.3930 0.9151 1
Br2 0.3640 0.4677 0.4165 1
Br3 0.5205 0.0526 0.4166 1
Br4 0.5218 0.9670 0.9158 1
Br5 0.9481 0.5548 0.9165 1
Br6 0.9482 0.8958 0.4163 1
```

---

Record 4
This entry pairs a crystal structure of Cd2HBr with its calculated X-ray powder pattern. Radiation: Cu Kα. Structure: a PBE-relaxed structure.

Peak list (8 most intense, 15 to 90 degrees two-theta, by intensity)
2θ (°)	I_rel
38.8	100
25.8	97
27.2	96
43.3	56
36.6	38
36.9	38
61.5	25
25.9	23

Structural model:
```
data_Cd2HBr
_chemical_formula_sum 'Cd8 H4 Br4'
_cell_length_a 5.2645
_cell_length_b 5.2645
_cell_length_c 13.7393
_cell_angle_alpha 90.00
_cell_angle_beta 90.00
_cell_angle_gamma 90.00
_space_group_name_H-M_alt 'I -4 2 d'
_space_group_IT_number 122
_space_group_name_Hall 'I -4 2bw'
loop_
_atom_site_label
_atom_site_fract_x
_atom_site_fract_y
_atom_site_fract_z
_atom_site_occupancy
Cd1 0.1008 0.2500 0.1250 1
H1 0.0000 0.0000 0.0000 1
Br1 0.0000 0.0000 0.5000 1
```

---

Record 5
This entry pairs a crystal structure of CdH2Br3 with its calculated X-ray powder pattern. Radiation: Cu Kα. Structure: a PBE-relaxed structure.

Peak list (8 most intense, 15 to 90 degrees two-theta, by intensity)
2θ (°)	I_rel
25.0	100
31.6	60
22.7	58
23.4	55
41.2	38
29.7	38
41.6	28
43.5	26

Structural model:
```
data_CdH2Br3
_chemical_formula_sum 'Cd4 H8 Br12'
_cell_length_a 8.3808
_cell_length_b 13.8773
_cell_length_c 7.1613
_cell_angle_alpha 90.00
_cell_angle_beta 118.36
_cell_angle_gamma 90.00
_space_group_name_H-M_alt 'C 1 2/c 1'
_space_group_IT_number 15
loop_
_space_group_symop_operation_xyz
'x,y,z'
'-x,-y,-z'
'-x,y,-z+1/2'
'x,-y,z+1/2'
'x+1/2,y+1/2,z'
'-x+1/2,-y+1/2,-z'
'-x+1/2,y+1/2,-z+1/2'
'x+1/2,-y+1/2,z+1/2'
loop_
_atom_site_label
_atom_site_fract_x
_atom_site_fract_y
_atom_site_fract_z
_atom_site_occupancy
Cd1 0.0000 0.0018 0.2500 1
H1 0.0847 0.3426 0.5080 1
Br1 0.0000 0.3567 0.2500 1
Br2 0.1787 0.1059 0.0972 1
```

---

Record 6
This entry pairs a crystal structure of Mg2CdH24Br6O12 with its calculated X-ray powder pattern. Radiation: Cu Kα. Structure: a PBE-relaxed structure.

Peak list (8 most intense, 15 to 90 degrees two-theta, by intensity)
2θ (°)	I_rel
22.0	100
33.1	97
27.1	93
28.0	84
42.2	67
26.8	53
35.2	52
37.5	40

Structural model:
```
data_Mg2CdH24Br6O12
_chemical_formula_sum 'Mg6 Cd3 H72 Br18 O36'
_cell_length_a 10.3240
_cell_length_b 10.3240
_cell_length_c 19.3682
_cell_angle_alpha 90.00
_cell_angle_beta 90.00
_cell_angle_gamma 120.00
_space_group_name_H-M_alt 'R -3'
_space_group_IT_number 148
_space_group_name_Hall '-R 3'
loop_
_atom_site_label
_atom_site_fract_x
_atom_site_fract_y
_atom_site_fract_z
_atom_site_occupancy
Mg1 0.0000 0.0000 0.1944 1
Cd1 0.0000 0.0000 0.5000 1
H1 0.0191 0.1797 0.3032 1
H2 0.0272 0.8006 0.1090 1
H3 0.0560 0.5447 0.9198 1
H4 0.0772 0.5578 0.5515 1
Br1 0.0630 0.8164 0.5867 1
O1 0.0486 0.1857 0.8664 1
O2 0.0554 0.1868 0.2553 1
```